Structure and computed PXRD pattern of V6O7F5 (a DFT-relaxed cell (GGA+U, Alexandria); a wavelength of 1.5418 Å).

Main lines, low angle first (2θ = 10–90°):
hkl  two_theta  Rel. int.
0 0 1  15.0  35.9
1 0 -1  19.7  67.7
0 1 -2  30.6  100.0
1 -2 0  31.7  90.9
1 1 1  32.2  62.0
2 0 -1  32.9  82.7
1 -3 2  51.6  44.7
2 1 -3  52.7  39.8
0 3 1  53.1  32.2
-3 2 1  54.6  38.0

```
data_V6O7F5
_chemical_formula_sum 'V6 O7 F5'
_symmetry_space_group_name_H-M 'P 1'
_symmetry_Int_Tables_number 1
_symmetry_space_group_name_Hall 'P 1'
_cell_length_a 5.729
_cell_length_b 6.054
_cell_length_c 6.154
_cell_angle_alpha 101.42
_cell_angle_beta 98.86
_cell_angle_gamma 99.92
loop_
_atom_site_label
_atom_site_fract_x
_atom_site_fract_y
_atom_site_fract_z
V1 0.000 0.000 0.000
V2 0.088 0.545 0.256
V3 0.287 0.189 0.545
V4 0.390 0.734 0.793
V5 0.534 0.269 0.066
V6 0.848 0.487 0.754
O1 0.092 0.451 0.579
O2 0.127 0.687 0.989
O3 0.260 0.040 0.813
O4 0.264 0.287 0.231
O5 0.501 0.437 0.821
O6 0.757 0.770 0.758
O7 0.869 0.291 0.972
F1 0.017 0.953 0.328
F2 0.365 0.779 0.468
F3 0.600 0.957 0.087
F4 0.635 0.219 0.502
F5 0.745 0.548 0.285
```